Computed powder diffraction line list of NdGeBIr2 for copper Kα, from a cell relaxed with PBE.
Kinematic intensities with the Lorentz-polarization factor, no thermal factor.

Peak list (6 most intense, 2θ = 10–90°, low angle first)
2theta, Rel. int., hkl
28.16, 17, 1 1 2
35.72, 30, 0 0 4
35.89, 100, 2 0 2
44.31, 38, 2 2 0
58.18, 21, 2 2 4
67.53, 17, 4 0 2

```
data_NdGeBIr2
_cell_length_a 5.773
_cell_length_b 5.773
_cell_length_c 10.054
_cell_angle_alpha 90.00
_cell_angle_beta 90.00
_cell_angle_gamma 90.00
_space_group_name_H-M_alt 'I 4 c m'
_space_group_IT_number 108
_space_group_name_Hall 'I 4 -2c'
loop_
_atom_site_label
_atom_site_fract_x
_atom_site_fract_y
_atom_site_fract_z
_atom_site_occupancy
Nd1 0.000 0.000 0.000 1
Ge1 0.000 0.500 0.001 1
B1 0.000 0.000 0.250 1
Ir1 0.160 0.340 0.250 1
```

***

Computed powder diffraction line list of K2GeB4O11 for copper Kα, from a cell relaxed with PBE.
Kinematic intensities with the Lorentz-polarization factor, no thermal factor.

Peak list (6 most intense, 2θ = 10–90°, low angle first)
2theta, Rel. int., hkl
14.49, 75, 0 2 0
14.74, 100, 0 0 2
25.41, 80, 1 3 0
26.58, 65, 1 1 -3
26.95, 41, 1 1 3
29.74, 72, 0 0 4

```
data_K2GeB4O11
_cell_length_a 6.869
_cell_length_b 12.225
_cell_length_c 12.023
_cell_angle_alpha 90.00
_cell_angle_beta 90.93
_cell_angle_gamma 90.00
_space_group_name_H-M_alt 'C 1 c 1'
_space_group_IT_number 9
_space_group_name_Hall 'C -2yc'
loop_
_atom_site_label
_atom_site_fract_x
_atom_site_fract_y
_atom_site_fract_z
_atom_site_occupancy
K1 0.000 0.038 0.000 1
K2 0.420 0.240 0.251 1
Ge1 0.454 0.204 0.929 1
B1 0.038 0.478 0.978 1
B2 0.120 0.293 0.042 1
B3 0.287 0.168 0.495 1
B4 0.375 0.189 0.692 1
O1 0.066 0.297 0.164 1
O2 0.098 0.416 0.455 1
O3 0.120 0.188 0.418 1
O4 0.183 0.405 0.008 1
O5 0.221 0.450 0.736 1
O6 0.227 0.175 0.614 1
O7 0.283 0.214 0.036 1
O8 0.315 0.192 0.803 1
O9 0.346 0.051 0.470 1
O10 0.385 0.490 0.748 1
O11 0.451 0.241 0.476 1
```

***

> Which formula does entry 1 have?

NdGeBIr2